(1)
Starting from a structure optimized by DFT (GGA+U), the X-ray powder pattern of Li7Mn2Co3O12 was computed for λ = 1.5418 Å (Cu Kα).
Intensities are scaled so that the largest is 100.

Most intense lines, 5 to 70 degrees two-theta, by angle:
- 2θ = 9.1°, intensity 15, (0 0 1)
- 2θ = 12.0°, intensity 10, (0 1 0)
- 2θ = 18.3°, intensity 100, (0 0 2)
- 2θ = 34.8°, intensity 18, (1 1 -1)
- 2θ = 36.4°, intensity 12, (1 -2 1)
- 2θ = 36.7°, intensity 12, (0 3 0)
- 2θ = 41.8°, intensity 34, (1 1 -3)
- 2θ = 44.1°, intensity 28, (1 -2 3)
- 2θ = 44.7°, intensity 26, (0 3 2)
- 2θ = 62.8°, intensity 16, (-1 2 5)

Atomic structure:
```
data_Li7Mn2Co3O12
_symmetry_space_group_name_H-M 'P 1'
_symmetry_Int_Tables_number 1
_cell_length_a 2.974
_cell_length_b 7.602
_cell_length_c 9.886
_cell_angle_alpha 101.04
_cell_angle_beta 92.41
_cell_angle_gamma 99.04
loop_
_symmetry_equiv_pos_as_xyz
'x,y,z'
loop_
_atom_site_label
_atom_site_type_symbol
_atom_site_fract_x
_atom_site_fract_y
_atom_site_fract_z
Li1 Li 0.000 0.000 0.000
Li2 Li 0.059 0.158 0.766
Li3 Li 0.153 0.331 0.510
Li4 Li 0.308 0.658 0.012
Li5 Li 0.496 0.997 0.510
Li6 Li 0.652 0.315 0.996
Li7 Li 0.812 0.654 0.506
Mn1 Mn 0.409 0.832 0.757
Mn2 Mn 0.578 0.158 0.258
Co1 Co 0.238 0.495 0.255
Co2 Co 0.732 0.477 0.753
Co3 Co 0.895 0.825 0.259
O1 O 0.160 0.252 0.139
O2 O 0.174 0.423 0.871
O3 O 0.310 0.580 0.645
O4 O 0.316 0.736 0.373
O5 O 0.477 0.912 0.145
O6 O 0.513 0.054 0.876
O7 O 0.629 0.267 0.641
O8 O 0.705 0.404 0.371
O9 O 0.772 0.587 0.143
O10 O 0.877 0.737 0.859
O11 O 0.922 0.897 0.647
O12 O 0.996 0.065 0.376
```



(2)
Starting from a structure optimized by DFT (GGA+U), the X-ray powder pattern of Li7Mn4CoO12 was computed for λ = 1.5418 Å (Cu Kα).
Intensities are scaled so that the largest is 100.

Most intense lines, 5 to 70 degrees two-theta, by angle:
- 2θ = 9.1°, intensity 9, (0 0 1)
- 2θ = 18.3°, intensity 100, (0 0 2)
- 2θ = 20.0°, intensity 8, (1 1 0)
- 2θ = 34.6°, intensity 19, (2 0 0)
- 2θ = 36.4°, intensity 23, (1 3 -1)
- 2θ = 41.6°, intensity 35, (2 0 2)
- 2θ = 44.3°, intensity 56, (1 3 -3)
- 2θ = 47.2°, intensity 10, (1 3 3)
- 2θ = 58.4°, intensity 9, (1 3 -5)
- 2θ = 62.4°, intensity 33, (1 3 5)

Atomic structure:
```
data_Li7Mn4CoO12
_symmetry_space_group_name_H-M 'C 1 2 1'
_symmetry_Int_Tables_number 5
_cell_length_a 5.224
_cell_length_b 8.607
_cell_length_c 9.757
_cell_angle_alpha 90.00
_cell_angle_beta 97.32
_cell_angle_gamma 90.00
loop_
_symmetry_equiv_pos_as_xyz
'x,y,z'
'-x,y,-z'
'x+1/2,y+1/2,z'
'-x+1/2,y+1/2,-z'
loop_
_atom_site_label
_atom_site_type_symbol
_atom_site_fract_x
_atom_site_fract_y
_atom_site_fract_z
Li1 Li 0.000 0.000 0.000
Li2 Li 0.246 0.833 0.246
Li3 Li 0.248 0.502 0.242
Li4 Li 0.250 0.161 0.246
Mn1 Mn 0.000 0.166 0.500
Mn2 Mn 0.000 0.331 0.000
Mn3 Mn 0.000 0.499 0.500
Mn4 Mn 0.000 0.832 0.500
Co1 Co 0.000 0.668 0.000
O1 O 0.102 0.999 0.380
O2 O 0.104 0.332 0.382
O3 O 0.104 0.666 0.382
O4 O 0.105 0.501 0.889
O5 O 0.151 0.818 0.892
O6 O 0.154 0.177 0.891
```



(3)
Starting from a structure optimized by DFT (GGA+U), the X-ray powder pattern of Li7Mn2Co3O12 was computed for λ = 1.5418 Å (Cu Kα).
Intensities are scaled so that the largest is 100.

Most intense lines, 5 to 70 degrees two-theta, by angle:
- 2θ = 18.4°, intensity 100, (1 0 0)
- 2θ = 35.4°, intensity 15, (0 2 -2)
- 2θ = 36.0°, intensity 14, (0 2 1)
- 2θ = 36.7°, intensity 14, (1 0 -3)
- 2θ = 42.7°, intensity 30, (1 -2 2)
- 2θ = 43.8°, intensity 28, (1 2 1)
- 2θ = 44.5°, intensity 27, (2 0 -3)
- 2θ = 62.7°, intensity 8, (0 4 -1)
- 2θ = 62.9°, intensity 15, (2 0 3)
- 2θ = 63.8°, intensity 15, (1 2 -5)

Atomic structure:
```
data_Li7Mn2Co3O12
_symmetry_space_group_name_H-M 'P 1'
_symmetry_Int_Tables_number 1
_cell_length_a 5.075
_cell_length_b 5.929
_cell_length_c 7.652
_cell_angle_alpha 101.97
_cell_angle_beta 107.50
_cell_angle_gamma 90.81
loop_
_symmetry_equiv_pos_as_xyz
'x,y,z'
loop_
_atom_site_label
_atom_site_type_symbol
_atom_site_fract_x
_atom_site_fract_y
_atom_site_fract_z
Li1 Li 0.000 0.000 0.000
Li2 Li 0.000 0.159 0.668
Li3 Li 0.000 0.648 0.663
Li4 Li 0.003 0.474 0.003
Li5 Li 0.498 0.240 0.999
Li6 Li 0.983 0.327 0.328
Li7 Li 0.992 0.819 0.329
Mn1 Mn 0.492 0.739 0.999
Mn2 Mn 0.502 0.903 0.668
Co1 Co 0.492 0.570 0.328
Co2 Co 0.495 0.077 0.325
Co3 Co 0.506 0.395 0.668
O1 O 0.250 0.790 0.148
O2 O 0.268 0.299 0.189
O3 O 0.275 0.092 0.510
O4 O 0.277 0.462 0.831
O5 O 0.277 0.929 0.831
O6 O 0.279 0.619 0.504
O7 O 0.712 0.551 0.161
O8 O 0.712 0.847 0.491
O9 O 0.720 0.016 0.166
O10 O 0.723 0.709 0.830
O11 O 0.732 0.176 0.816
O12 O 0.740 0.356 0.508
```



(4)
Starting from a structure optimized by DFT (GGA+U), the X-ray powder pattern of Li7Mn4CoO12 was computed for λ = 1.5418 Å (Cu Kα).
Intensities are scaled so that the largest is 100.

Most intense lines, 5 to 70 degrees two-theta, by angle:
- 2θ = 9.1°, intensity 15, (0 0 1)
- 2θ = 13.6°, intensity 9, (2 0 -1)
- 2θ = 18.4°, intensity 100, (0 0 2)
- 2θ = 34.7°, intensity 17, (6 0 0)
- 2θ = 36.3°, intensity 25, (3 1 -1)
- 2θ = 42.0°, intensity 33, (6 0 2)
- 2θ = 44.1°, intensity 57, (3 1 -3)
- 2θ = 58.1°, intensity 10, (3 1 -5)
- 2θ = 62.4°, intensity 16, (9 1 -1)
- 2θ = 62.6°, intensity 16, (3 1 5)

Atomic structure:
```
data_Li7Mn4CoO12
_symmetry_space_group_name_H-M 'C 1 2/m 1'
_symmetry_Int_Tables_number 12
_cell_length_a 15.671
_cell_length_b 2.876
_cell_length_c 9.771
_cell_angle_alpha 90.00
_cell_angle_beta 98.30
_cell_angle_gamma 90.00
loop_
_symmetry_equiv_pos_as_xyz
'x,y,z'
'-x,-y,-z'
'-x,y,-z'
'x,-y,z'
'x+1/2,y+1/2,z'
'-x+1/2,-y+1/2,-z'
'-x+1/2,y+1/2,-z'
'x+1/2,-y+1/2,z'
loop_
_atom_site_label
_atom_site_type_symbol
_atom_site_fract_x
_atom_site_fract_y
_atom_site_fract_z
Li1 Li 0.000 0.000 0.000
Li2 Li 0.079 0.500 0.243
Li3 Li 0.081 0.000 0.754
Li4 Li 0.249 0.000 0.250
Mn1 Mn 0.162 0.500 0.996
Mn2 Mn 0.165 0.000 0.497
Co1 Co 0.000 0.500 0.500
O1 O 0.033 0.000 0.384
O2 O 0.057 0.500 0.886
O3 O 0.131 0.000 0.113
O4 O 0.131 0.500 0.614
O5 O 0.200 0.500 0.381
O6 O 0.212 0.000 0.894
```



(5)
Starting from a structure optimized by DFT (GGA+U), the X-ray powder pattern of Li4MnCo2O7 was computed for λ = 1.5418 Å (Cu Kα).
Intensities are scaled so that the largest is 100.

Most intense lines, 5 to 70 degrees two-theta, by angle:
- 2θ = 5.2°, intensity 25, (2 0 0)
- 2θ = 10.5°, intensity 9, (4 0 0)
- 2θ = 18.2°, intensity 100, (2 0 1)
- 2θ = 35.4°, intensity 14, (12 0 -1)
- 2θ = 36.2°, intensity 27, (7 1 0)
- 2θ = 42.8°, intensity 28, (10 0 -2)
- 2θ = 43.8°, intensity 54, (9 1 1)
- 2θ = 57.6°, intensity 9, (11 1 2)
- 2θ = 62.7°, intensity 15, (1 1 -3)
- 2θ = 63.1°, intensity 14, (19 1 -1)

Atomic structure:
```
data_Li4MnCo2O7
_symmetry_space_group_name_H-M 'C 1 m 1'
_symmetry_Int_Tables_number 8
_cell_length_a 33.855
_cell_length_b 2.888
_cell_length_c 5.177
_cell_angle_alpha 90.00
_cell_angle_beta 93.41
_cell_angle_gamma 90.00
loop_
_symmetry_equiv_pos_as_xyz
'x,y,z'
'x,-y,z'
'x+1/2,y+1/2,z'
'x+1/2,-y+1/2,z'
loop_
_atom_site_label
_atom_site_type_symbol
_atom_site_fract_x
_atom_site_fract_y
_atom_site_fract_z
Li1 Li 0.000 0.000 0.000
Li2 Li 0.001 0.500 0.515
Li3 Li 0.070 0.500 0.863
Li4 Li 0.143 0.000 0.731
Li5 Li 0.216 0.500 0.583
Li6 Li 0.286 0.000 0.436
Li7 Li 0.360 0.500 0.293
Li8 Li 0.433 0.000 0.148
Mn1 Mn 0.069 0.000 0.378
Mn2 Mn 0.215 0.000 0.081
Co1 Co 0.143 0.500 0.238
Co2 Co 0.288 0.500 0.926
Co3 Co 0.359 0.000 0.791
Co4 Co 0.434 0.500 0.633
O1 O 0.039 0.000 0.661
O2 O 0.040 0.500 0.207
O3 O 0.104 0.500 0.526
O4 O 0.108 0.000 0.078
O5 O 0.176 0.000 0.409
O6 O 0.181 0.500 0.932
O7 O 0.250 0.500 0.233
O8 O 0.254 0.000 0.755
O9 O 0.325 0.000 0.082
O10 O 0.328 0.500 0.637
O11 O 0.390 0.500 0.940
O12 O 0.393 0.000 0.515
O13 O 0.461 0.500 0.345
O14 O 0.462 0.000 0.825
```



(6)
Starting from a structure optimized by DFT (GGA+U), the X-ray powder pattern of Li3MnCoO5 was computed for λ = 1.5418 Å (Cu Kα).
Intensities are scaled so that the largest is 100.

Most intense lines, 5 to 70 degrees two-theta, by angle:
- 2θ = 12.2°, intensity 12, (0 0 1)
- 2θ = 18.3°, intensity 100, (0 1 0)
- 2θ = 22.2°, intensity 9, (0 1 -1)
- 2θ = 35.9°, intensity 26, (2 1 1)
- 2θ = 36.6°, intensity 12, (1 0 3)
- 2θ = 43.2°, intensity 30, (-1 1 2)
- 2θ = 43.5°, intensity 30, (2 2 1)
- 2θ = 44.3°, intensity 28, (1 -1 3)
- 2θ = 62.9°, intensity 16, (1 3 3)
- 2θ = 63.0°, intensity 8, (3 1 -1)

Atomic structure:
```
data_Li3MnCoO5
_symmetry_space_group_name_H-M 'P -1'
_symmetry_Int_Tables_number 2
_cell_length_a 5.087
_cell_length_b 5.127
_cell_length_c 7.633
_cell_angle_alpha 83.18
_cell_angle_beta 71.54
_cell_angle_gamma 70.74
loop_
_symmetry_equiv_pos_as_xyz
'x,y,z'
'-x,-y,-z'
loop_
_atom_site_label
_atom_site_type_symbol
_atom_site_fract_x
_atom_site_fract_y
_atom_site_fract_z
Li1 Li 0.000 0.000 0.000
Li2 Li 0.094 0.497 0.805
Li3 Li 0.309 0.495 0.397
Li4 Li 0.500 0.500 0.000
Mn1 Mn 0.404 0.993 0.198
Co1 Co 0.192 0.002 0.611
O1 O 0.081 0.217 0.390
O2 O 0.162 0.768 0.208
O3 O 0.281 0.224 0.000
O4 O 0.357 0.779 0.787
O5 O 0.453 0.234 0.611
```



(7)
Starting from a structure optimized by DFT (GGA+U), the X-ray powder pattern of Li4MnCo2O7 was computed for λ = 1.5418 Å (Cu Kα).
Intensities are scaled so that the largest is 100.

Most intense lines, 5 to 70 degrees two-theta, by angle:
- 2θ = 8.9°, intensity 13, (0 2 0)
- 2θ = 18.5°, intensity 100, (0 0 1)
- 2θ = 35.6°, intensity 16, (2 0 -1)
- 2θ = 36.8°, intensity 25, (1 7 0)
- 2θ = 42.8°, intensity 29, (2 0 -2)
- 2θ = 44.6°, intensity 52, (1 7 1)
- 2θ = 48.0°, intensity 9, (1 7 -2)
- 2θ = 58.6°, intensity 10, (1 7 2)
- 2θ = 63.3°, intensity 15, (1 7 -3)
- 2θ = 63.8°, intensity 15, (3 7 -1)

Atomic structure:
```
data_Li4MnCo2O7
_symmetry_space_group_name_H-M 'C 1 2 1'
_symmetry_Int_Tables_number 5
_cell_length_a 5.099
_cell_length_b 19.941
_cell_length_c 5.147
_cell_angle_alpha 90.00
_cell_angle_beta 111.01
_cell_angle_gamma 90.00
loop_
_symmetry_equiv_pos_as_xyz
'x,y,z'
'-x,y,-z'
'x+1/2,y+1/2,z'
'-x+1/2,y+1/2,-z'
loop_
_atom_site_label
_atom_site_type_symbol
_atom_site_fract_x
_atom_site_fract_y
_atom_site_fract_z
Li1 Li 0.000 0.000 0.000
Li2 Li 0.000 0.067 0.500
Li3 Li 0.000 0.217 0.500
Li4 Li 0.000 0.359 0.500
Li5 Li 0.000 0.501 0.500
Li6 Li 0.000 0.642 0.500
Li7 Li 0.000 0.787 0.500
Li8 Li 0.000 0.931 0.500
Mn1 Mn 0.000 0.142 0.000
Mn2 Mn 0.000 0.430 0.000
Co1 Co 0.000 0.287 0.000
Co2 Co 0.000 0.571 0.000
Co3 Co 0.000 0.715 0.000
Co4 Co 0.000 0.858 0.000
O1 O 0.220 0.500 0.232
O2 O 0.225 0.215 0.230
O3 O 0.225 0.785 0.224
O4 O 0.226 0.357 0.231
O5 O 0.247 0.577 0.778
O6 O 0.247 0.644 0.214
O7 O 0.248 0.425 0.785
```



(8)
Starting from a structure optimized by DFT (GGA+U), the X-ray powder pattern of Li7Mn4CoO12 was computed for λ = 1.5418 Å (Cu Kα).
Intensities are scaled so that the largest is 100.

Most intense lines, 5 to 70 degrees two-theta, by angle:
- 2θ = 12.0°, intensity 9, (0 0 1)
- 2θ = 18.4°, intensity 100, (0 1 1)
- 2θ = 34.4°, intensity 17, (2 1 1)
- 2θ = 36.5°, intensity 24, (1 1 -2)
- 2θ = 41.5°, intensity 34, (2 2 2)
- 2θ = 44.4°, intensity 55, (1 0 -3)
- 2θ = 47.4°, intensity 9, (1 1 4)
- 2θ = 62.2°, intensity 17, (3 2 -1)
- 2θ = 62.6°, intensity 16, (1 4 1)
- 2θ = 65.2°, intensity 7, (0 2 -4)

Atomic structure:
```
data_Li7Mn4CoO12
_symmetry_space_group_name_H-M 'P 1'
_symmetry_Int_Tables_number 1
_cell_length_a 5.252
_cell_length_b 5.947
_cell_length_c 7.748
_cell_angle_alpha 76.35
_cell_angle_beta 75.13
_cell_angle_gamma 70.38
loop_
_symmetry_equiv_pos_as_xyz
'x,y,z'
loop_
_atom_site_label
_atom_site_type_symbol
_atom_site_fract_x
_atom_site_fract_y
_atom_site_fract_z
Li1 Li 0.000 0.000 0.000
Li2 Li 0.001 0.334 0.663
Li3 Li 0.015 0.658 0.326
Li4 Li 0.502 0.164 0.834
Li5 Li 0.505 0.332 0.161
Li6 Li 0.505 0.829 0.160
Li7 Li 0.508 0.498 0.495
Mn1 Mn 0.005 0.498 0.996
Mn2 Mn 0.005 0.829 0.664
Mn3 Mn 0.006 0.165 0.328
Mn4 Mn 0.505 0.999 0.495
Co1 Co 0.505 0.660 0.833
O1 O 0.223 0.177 0.086
O2 O 0.228 0.506 0.753
O3 O 0.232 0.840 0.414
O4 O 0.243 0.299 0.409
O5 O 0.250 0.647 0.055
O6 O 0.283 0.979 0.741
O7 O 0.726 0.677 0.591
O8 O 0.762 0.367 0.916
O9 O 0.768 0.013 0.267
O10 O 0.779 0.821 0.913
O11 O 0.783 0.154 0.574
O12 O 0.787 0.486 0.239
```



(9)
Starting from a structure optimized by DFT (GGA+U), the X-ray powder pattern of Li7Mn2Co3O12 was computed for λ = 1.5418 Å (Cu Kα).
Intensities are scaled so that the largest is 100.

Most intense lines, 5 to 70 degrees two-theta, by angle:
- 2θ = 15.6°, intensity 9, (0 1 0)
- 2θ = 18.4°, intensity 100, (0 1 -1)
- 2θ = 35.5°, intensity 15, (-2 1 1)
- 2θ = 36.6°, intensity 12, (2 1 0)
- 2θ = 36.8°, intensity 12, (0 1 2)
- 2θ = 42.7°, intensity 31, (2 -2 0)
- 2θ = 44.5°, intensity 53, (0 0 3)
- 2θ = 62.9°, intensity 8, (2 -2 3)
- 2θ = 63.4°, intensity 15, (4 0 -1)
- 2θ = 63.8°, intensity 7, (-2 2 3)

Atomic structure:
```
data_Li7Mn2Co3O12
_symmetry_space_group_name_H-M 'P 1'
_symmetry_Int_Tables_number 1
_cell_length_a 5.871
_cell_length_b 5.876
_cell_length_c 6.480
_cell_angle_alpha 103.79
_cell_angle_beta 102.81
_cell_angle_gamma 92.27
loop_
_symmetry_equiv_pos_as_xyz
'x,y,z'
loop_
_atom_site_label
_atom_site_type_symbol
_atom_site_fract_x
_atom_site_fract_y
_atom_site_fract_z
Li1 Li 0.000 0.000 0.000
Li2 Li 0.001 0.502 0.997
Li3 Li 0.162 0.166 0.670
Li4 Li 0.328 0.836 0.332
Li5 Li 0.502 0.504 0.000
Li6 Li 0.678 0.167 0.674
Li7 Li 0.840 0.838 0.332
Mn1 Mn 0.333 0.331 0.333
Mn2 Mn 0.499 0.000 0.999
Co1 Co 0.161 0.678 0.673
Co2 Co 0.669 0.673 0.668
Co3 Co 0.841 0.330 0.333
O1 O 0.099 0.556 0.341
O2 O 0.103 0.100 0.337
O3 O 0.260 0.756 0.986
O4 O 0.273 0.240 0.020
O5 O 0.404 0.919 0.688
O6 O 0.428 0.432 0.650
O7 O 0.574 0.104 0.322
O8 O 0.579 0.577 0.351
O9 O 0.727 0.771 0.987
O10 O 0.744 0.248 0.024
O11 O 0.905 0.896 0.661
O12 O 0.929 0.426 0.649
```



(10)
Starting from a structure optimized by DFT (GGA+U), the X-ray powder pattern of Li7Mn2Co3O12 was computed for λ = 1.5418 Å (Cu Kα).
Intensities are scaled so that the largest is 100.

Most intense lines, 5 to 70 degrees two-theta, by angle:
- 2θ = 7.3°, intensity 12, (0 0 1)
- 2θ = 18.3°, intensity 100, (0 1 -1)
- 2θ = 34.2°, intensity 21, (1 1 2)
- 2θ = 36.1°, intensity 12, (-1 1 2)
- 2θ = 36.9°, intensity 10, (0 1 5)
- 2θ = 41.1°, intensity 36, (1 2 1)
- 2θ = 43.9°, intensity 29, (-1 2 1)
- 2θ = 45.0°, intensity 25, (0 0 6)
- 2θ = 61.4°, intensity 9, (2 0 0)
- 2θ = 62.6°, intensity 16, (1 2 -5)

Atomic structure:
```
data_Li7Mn2Co3O12
_symmetry_space_group_name_H-M 'P 1'
_symmetry_Int_Tables_number 1
_cell_length_a 3.024
_cell_length_b 6.005
_cell_length_c 12.411
_cell_angle_alpha 76.68
_cell_angle_beta 88.51
_cell_angle_gamma 86.39
loop_
_symmetry_equiv_pos_as_xyz
'x,y,z'
loop_
_atom_site_label
_atom_site_type_symbol
_atom_site_fract_x
_atom_site_fract_y
_atom_site_fract_z
Li1 Li 0.000 0.000 0.000
Li2 Li 0.000 0.337 0.330
Li3 Li 0.498 0.515 0.492
Li4 Li 0.499 0.835 0.833
Li5 Li 0.503 0.160 0.167
Li6 Li 0.998 0.673 0.660
Li7 Li 0.999 0.837 0.330
Mn1 Mn 0.510 0.339 0.832
Mn2 Mn 0.996 0.170 0.660
Co1 Co 0.006 0.502 0.003
Co2 Co 0.488 0.996 0.488
Co3 Co 0.499 0.679 0.171
O1 O 0.023 0.900 0.164
O2 O 0.025 0.241 0.500
O3 O 0.042 0.580 0.840
O4 O 0.469 0.935 0.648
O5 O 0.491 0.735 0.012
O6 O 0.498 0.592 0.314
O7 O 0.499 0.082 0.345
O8 O 0.518 0.270 0.993
O9 O 0.530 0.410 0.670
O10 O 0.965 0.433 0.159
O11 O 0.967 0.095 0.823
O12 O 0.967 0.775 0.495
```